The following is a computed X-ray powder pattern of CsRb2Hg2. It was derived from a DFT-relaxed cell (PBE, Alexandria), using Cu Ka.

Structure:
Cell: 14.5757 5.3634 7.3768 Å, 90.00 102.73 90.00°
Space group C2/m (No. 12)
Asymmetric unit:
Cs  0.0000  0.0000  0.0000
Rb  0.1521  0.5000  0.5792
Hg  0.2254  0.5000  0.0925

Peak list (10 most intense, 2θ = 10–90°, by angle)
two_theta  intensity  (hkl)
12.30  84  0 0 1
12.45  80  2 0 0
22.37  47  1 1 1
25.07  100  3 1 0
26.08  40  3 1 -1
29.40  45  1 1 -2
30.41  39  4 0 1
31.71  56  1 1 2
32.37  63  3 1 -2
33.41  43  0 2 0